Theoretical X-ray diffraction stick pattern
Compound: Mg2Nb2VO8
Radiation: CuKα
Structure: DFT lattice parameters and positions (PBE+U)
Lines closer than 0.1° are merged.

Most intense lines, 10° ≤ 2θ ≤ 90°, low angle first:
2θ/deg  I (rel.)
20.16  43
22.97  64
26.36  50
26.58  57
27.42  52
32.27  70
32.58  67
34.30  100

Cell and atoms:
a = 10.1117 Å, b = 10.1117 Å, c = 5.2223 Å
α = 90.67°, β = 90.67°, γ = 34.79°
Element x y z (fractional)
Mg1 0.0878 0.3701 0.2529
Mg2 0.3701 0.0878 0.7529
Mg3 0.6299 0.9122 0.2471
Mg4 0.9122 0.6299 0.7471
Nb1 0.2142 0.5523 0.2453
Nb2 0.4477 0.7858 0.2547
Nb3 0.5523 0.2142 0.7453
Nb4 0.7858 0.4477 0.7547
V1 0.1497 0.8503 0.7500
V2 0.8503 0.1497 0.2500
O1 0.0465 0.3363 0.6139
O2 0.0644 0.8167 0.0934
O3 0.1833 0.9356 0.4066
O4 0.2070 0.4168 0.9589
O5 0.3180 0.5379 0.5822
O6 0.3363 0.0465 0.1139
O7 0.4168 0.2070 0.4589
O8 0.4621 0.6820 0.9178
O9 0.5379 0.3180 0.0822
O10 0.5832 0.7930 0.5411
O11 0.6637 0.9535 0.8861
O12 0.6820 0.4621 0.4178
O13 0.7930 0.5832 0.0411
O14 0.8167 0.0644 0.5934
O15 0.9356 0.1833 0.9066
O16 0.9535 0.6637 0.3861